(1)
For CsSn3Pb3, a PBE-relaxed structure gives the calculated X-ray diffraction stick pattern in this record (λ = 1.5418 Å (Cu Kα)).
Peak positions follow from Bragg's law for the DFT cell and can differ from measured ones.

Principal peaks in the range 2θ from 10° to 90°, by angle:
2θ 24.04, 3.702 Å, intensity 12, hkl 1 1 1
2θ 28.62, 3.120 Å, intensity 28, hkl 1 2 0
2θ 30.40, 2.940 Å, intensity 30, hkl 0 0 2
2θ 32.49, 2.756 Å, intensity 100, hkl 1 2 1
2θ 42.24, 2.140 Å, intensity 20, hkl 1 2 2
2θ 50.68, 1.801 Å, intensity 19, hkl 4 1 0
2θ 55.35, 1.660 Å, intensity 23, hkl 1 2 3
2θ 60.26, 1.536 Å, intensity 19, hkl 4 1 2
2θ 61.51, 1.508 Å, intensity 12, hkl 2 4 1
2θ 83.63, 1.156 Å, intensity 8, hkl 7 0 1
2θ 85.20, 1.139 Å, intensity 8, hkl 4 1 4
2θ 88.94, 1.100 Å, intensity 7, hkl 1 2 5

Atomic structure:
```
data_CsSn3Pb3
_chemical_formula_sum 'Cs2 Sn6 Pb6'
_cell_length_a 9.5303
_cell_length_b 9.5303
_cell_length_c 5.8805
_cell_angle_alpha 90.00
_cell_angle_beta 90.00
_cell_angle_gamma 120.00
_space_group_name_H-M_alt 'P 63/m'
_space_group_IT_number 176
_space_group_name_Hall '-P 6c'
loop_
_atom_site_label
_atom_site_fract_x
_atom_site_fract_y
_atom_site_fract_z
Cs1 0.3333 0.6667 0.2500
Sn1 0.0345 0.8196 0.2500
Pb1 0.0909 0.6478 0.7500
```



(2)
For La5AlGa4, a PBE-relaxed structure gives the calculated X-ray diffraction stick pattern in this record (λ = 1.5418 Å (Cu Kα)).
Peak positions follow from Bragg's law for the DFT cell and can differ from measured ones.

Principal peaks in the range 2θ from 10° to 90°, by angle:
2θ 23.48, 3.789 Å, intensity 5, hkl 0 0 5
2θ 23.58, 3.773 Å, intensity 11, hkl 1 0 0
2θ 33.54, 2.672 Å, intensity 100, hkl 1 1 0
2θ 41.39, 2.181 Å, intensity 5, hkl 1 1 5
2θ 48.02, 1.895 Å, intensity 6, hkl 0 0 10
2θ 48.24, 1.886 Å, intensity 12, hkl 2 0 0
2θ 54.35, 1.688 Å, intensity 4, hkl 2 1 0
2θ 59.88, 1.545 Å, intensity 12, hkl 1 1 10
2θ 60.02, 1.541 Å, intensity 24, hkl 2 1 5
2θ 70.44, 1.337 Å, intensity 8, hkl 2 0 10
2θ 80.12, 1.198 Å, intensity 5, hkl 1 0 15
2θ 80.49, 1.193 Å, intensity 10, hkl 3 1 0

Atomic structure:
```
data_La5AlGa4
_chemical_formula_sum 'La5 Al1 Ga4'
_cell_length_a 3.7727
_cell_length_b 3.7727
_cell_length_c 18.9473
_cell_angle_alpha 90.00
_cell_angle_beta 90.00
_cell_angle_gamma 90.00
_space_group_name_H-M_alt 'P 4/m m m'
_space_group_IT_number 123
_space_group_name_Hall '-P 4 2'
loop_
_atom_site_label
_atom_site_fract_x
_atom_site_fract_y
_atom_site_fract_z
La1 0.0000 0.0000 0.0000
La2 0.0000 0.0000 0.1993
La3 0.0000 0.0000 0.3983
Al1 0.5000 0.5000 0.5000
Ga1 0.5000 0.5000 0.0998
Ga2 0.5000 0.5000 0.2992
```



(3)
For KGaPS4, a PBE-relaxed structure gives the calculated X-ray diffraction stick pattern in this record (λ = 1.5418 Å (Cu Kα)).
Peak positions follow from Bragg's law for the DFT cell and can differ from measured ones.

Principal peaks in the range 2θ from 10° to 90°, by angle:
2θ 16.06, 5.519 Å, intensity 91, hkl 1 0 1
2θ 18.09, 4.905 Å, intensity 15, hkl 1 1 0
2θ 26.71, 3.338 Å, intensity 100, hkl 1 1 2
2θ 30.44, 2.937 Å, intensity 19, hkl 2 1 1
2θ 32.45, 2.759 Å, intensity 19, hkl 2 0 2
2θ 36.64, 2.453 Å, intensity 19, hkl 2 2 0
2θ 41.15, 2.194 Å, intensity 18, hkl 3 1 0
2θ 41.62, 2.170 Å, intensity 21, hkl 1 2 3
2θ 45.92, 1.976 Å, intensity 26, hkl 1 3 2
2θ 47.78, 1.904 Å, intensity 27, hkl 2 0 4
2θ 48.35, 1.882 Å, intensity 14, hkl 2 3 1
2θ 59.61, 1.551 Å, intensity 11, hkl 2 4 0

Atomic structure:
```
data_KGaPS4
_chemical_formula_sum 'K2 Ga2 P2 S8'
_cell_length_a 6.9368
_cell_length_b 6.9368
_cell_length_c 9.1088
_cell_angle_alpha 90.00
_cell_angle_beta 90.00
_cell_angle_gamma 90.00
_space_group_name_H-M_alt 'I -4'
_space_group_IT_number 82
loop_
_space_group_symop_operation_xyz
'x,y,z'
'y,-x,-z'
'-x,-y,z'
'-y,x,-z'
'x+1/2,y+1/2,z+1/2'
'y+1/2,-x+1/2,-z+1/2'
'-x+1/2,-y+1/2,z+1/2'
'-y+1/2,x+1/2,-z+1/2'
loop_
_atom_site_label
_atom_site_fract_x
_atom_site_fract_y
_atom_site_fract_z
K1 0.0000 0.0000 0.0000
Ga1 0.0000 0.0000 0.5000
P1 0.0000 0.5000 0.2500
S1 0.1419 0.7141 0.3667
```



(4)
For KLaSm4S8, a PBE-relaxed structure gives the calculated X-ray diffraction stick pattern in this record (λ = 1.5418 Å (Cu Kα)).
Peak positions follow from Bragg's law for the DFT cell and can differ from measured ones.

Principal peaks in the range 2θ from 10° to 90°, by angle:
2θ 12.91, 6.857 Å, intensity 45, hkl 1 0 1
2θ 14.85, 5.965 Å, intensity 22, hkl 0 1 2
2θ 24.54, 3.628 Å, intensity 49, hkl 0 1 5
2θ 24.78, 3.592 Å, intensity 100, hkl 1 1 3
2θ 24.91, 3.575 Å, intensity 53, hkl 0 2 1
2θ 25.99, 3.428 Å, intensity 27, hkl 2 0 2
2θ 29.96, 2.982 Å, intensity 74, hkl 0 2 4
2θ 39.02, 2.308 Å, intensity 26, hkl 0 2 7
2θ 39.26, 2.295 Å, intensity 40, hkl 1 2 5
2θ 39.42, 2.286 Å, intensity 31, hkl 0 3 3
2θ 42.59, 2.123 Å, intensity 67, hkl 2 0 8
2θ 43.19, 2.095 Å, intensity 65, hkl 2 2 0

Atomic structure:
```
data_KLaSm4S8
_chemical_formula_sum 'K3 La3 Sm12 S24'
_cell_length_a 8.3794
_cell_length_b 8.3794
_cell_length_c 20.9428
_cell_angle_alpha 90.00
_cell_angle_beta 90.00
_cell_angle_gamma 120.00
_space_group_name_H-M_alt 'R 3 m'
_space_group_IT_number 160
_space_group_name_Hall 'R 3 -2"'
loop_
_atom_site_label
_atom_site_fract_x
_atom_site_fract_y
_atom_site_fract_z
K1 0.0000 0.0000 0.0000
La1 0.0000 0.0000 0.6306
Sm1 0.0000 0.0000 0.2526
Sm2 0.1722 0.3443 0.4590
S1 0.0000 0.0000 0.3842
S2 0.0000 0.0000 0.8604
S3 0.0406 0.5203 0.3848
S4 0.1747 0.3493 0.2062
```



> Number 2 is which compound?

La5AlGa4